No. 1
Computed powder XRD pattern
Compound: MnAl4Ga
Radiation: Cu Kα (weighted mean of Kα1 and Kα2)
Structure: a DFT-relaxed cell (PBE, Alexandria)

The 10 most intense peaks (2θ from 10° to 90°), in order of rising 2θ:
| Position (°2θ) | I/Imax | hkl |
| --- | --- | --- |
| 13.02 | 80 | 0 0 2 |
| 37.10 | 12 | 1 -1 0 |
| 39.46 | 100 | 1 1 1 |
| 39.67 | 47 | 0 2 -3 |
| 39.78 | 46 | 0 0 6 |
| 45.94 | 34 | 1 -1 4 |
| 46.09 | 64 | 0 2 3 |
| 67.09 | 28 | 1 3 -2 |
| 80.47 | 12 | 2 -2 2 |
| 80.85 | 17 | 0 4 0 |

```
MnAl4Ga
1.0
2.801 0.000 0.000
-0.003 4.827 0.000
-1.343 -2.370 13.595
Mn Al Ga
2 8 2
direct
0.125 0.123 0.251 Mn
0.875 0.877 0.749 Mn
0.043 0.364 0.084 Al
0.209 0.880 0.416 Al
0.296 0.630 0.590 Al
0.454 0.122 0.909 Al
0.546 0.878 0.091 Al
0.704 0.370 0.410 Al
0.791 0.120 0.584 Al
0.957 0.636 0.916 Al
0.376 0.378 0.749 Ga
0.624 0.622 0.251 Ga
```


No. 2
Computed powder XRD pattern
Compound: Mn2Al2Ga
Radiation: Cu Kα (weighted mean of Kα1 and Kα2)
Structure: a DFT-relaxed cell (PBE, Alexandria)

The 10 most intense peaks (2θ from 10° to 90°), in order of rising 2θ:
| Position (°2θ) | I/Imax | hkl |
| --- | --- | --- |
| 23.91 | 38 | 0 1 1 |
| 29.23 | 16 | 1 0 2 |
| 36.86 | 11 | 1 1 2 |
| 42.80 | 100 | 1 1 3 |
| 44.79 | 22 | 0 2 0 |
| 45.32 | 22 | 2 0 0 |
| 58.54 | 9 | 0 0 6 |
| 65.62 | 13 | 2 2 0 |
| 81.19 | 14 | 1 3 3 |
| 81.96 | 13 | 3 1 3 |

```
Mn2Al2Ga
1.0
4.002 0.000 0.000
0.000 4.047 0.000
0.000 0.000 9.461
Mn Al Ga
4 4 2
direct
0.250 0.250 0.011 Mn
0.250 0.250 0.336 Mn
0.750 0.750 0.664 Mn
0.750 0.750 0.989 Mn
0.250 0.750 0.178 Al
0.250 0.750 0.497 Al
0.750 0.250 0.503 Al
0.750 0.250 0.822 Al
0.250 0.750 0.822 Ga
0.750 0.250 0.178 Ga
```


No. 3
Computed powder XRD pattern
Compound: MnAl4Ga2
Radiation: Cu Kα (weighted mean of Kα1 and Kα2)
Structure: a DFT-relaxed cell (PBE, Alexandria)

The 10 most intense peaks (2θ from 10° to 90°), in order of rising 2θ:
| Position (°2θ) | I/Imax | hkl |
| --- | --- | --- |
| 17.71 | 47 | 1 1 0 |
| 25.15 | 50 | 2 0 0 |
| 33.57 | 48 | 2 1 1 |
| 35.86 | 100 | 2 2 0 |
| 40.27 | 31 | 3 1 0 |
| 40.57 | 92 | 1 1 2 |
| 42.40 | 38 | 3 0 1 |
| 44.59 | 46 | 2 0 2 |
| 55.25 | 45 | 3 1 2 |
| 67.64 | 33 | 3 3 2 |

```
MnAl4Ga2
1.0
7.082 0.000 0.000
0.000 7.082 0.000
0.000 0.000 4.963
Mn Al Ga
2 8 4
direct
0.000 0.000 0.000 Mn
0.500 0.500 0.500 Mn
0.194 0.194 0.500 Al
0.194 0.806 0.500 Al
0.306 0.306 0.000 Al
0.306 0.694 0.000 Al
0.694 0.306 0.000 Al
0.694 0.694 0.000 Al
0.806 0.194 0.500 Al
0.806 0.806 0.500 Al
0.000 0.500 0.250 Ga
0.000 0.500 0.750 Ga
0.500 0.000 0.250 Ga
0.500 0.000 0.750 Ga
```


> Which formula does entry 3 have?

MnAl4Ga2


> What is the formula in the second record?

Mn2Al2Ga